This entry pairs a crystal structure of Y2Er2TmLu2Ni2Te2 with its simulated powder diffraction line list. Radiation: Cu Kα, 1.54184 Å. Structure: a PBE-relaxed structure.

The 10 most intense peaks (2θ = 15–90°), by angle:
d_spacing, I/Imax
3.063, 49
2.918, 55
2.695, 89
2.608, 100
2.573, 72
2.434, 37
2.322, 29
1.906, 32
1.770, 36
1.556, 41

Crystal structure
```
data_Y2Er2TmLu2Ni2Te2
_chemical_formula_sum 'Y4 Er4 Tm2 Lu4 Ni4 Te4'
_symmetry_space_group_name_H-M 'I m m 2'
_symmetry_Int_Tables_number 44
_cell_length_a 3.812
_cell_length_b 15.436
_cell_length_c 9.490
_cell_angle_alpha 90.00
_cell_angle_beta 90.00
_cell_angle_gamma 90.00
loop_
_symmetry_equiv_pos_as_xyz
'x,y,z'
'-x,-y,z'
'-x,y,z'
'x,-y,z'
'x+1/2,y+1/2,z+1/2'
'-x+1/2,-y+1/2,z+1/2'
'-x+1/2,y+1/2,z+1/2'
'x+1/2,-y+1/2,z+1/2'
loop_
_atom_site_label
_atom_site_fract_x
_atom_site_fract_y
_atom_site_fract_z
Y1 0.000 0.131 0.000
Er1 0.000 0.315 0.201
Tm1 0.000 0.000 0.581
Lu1 0.000 0.353 0.852
Ni1 0.000 0.236 0.509
Te1 0.000 0.000 0.247
Te2 0.000 0.500 0.344
```